[1]
# Ca3CdP
Simulated powder X-ray diffraction pattern, Cu Kα X-rays. Input: DFT lattice parameters and positions (PBE).

Structure:
```
Ca3CdP
1.0
6.319 0.000 0.000
0.000 5.593 0.000
0.000 0.000 8.479
Ca Cd P
6 2 2
Direct
0.000 0.000 0.000
0.250 0.000 0.376
0.250 0.500 0.725
0.500 0.000 0.000
0.750 0.000 0.624
0.750 0.500 0.275
0.250 0.500 0.128
0.750 0.500 0.872
0.250 0.000 0.706
0.750 0.000 0.294
```

Top 6 peaks for 10° ≤ 2θ ≤ 80°, by angle:
| 2θ (°) | d_spacing | I (rel.) |
| --- | --- | --- |
| 10.4 | 8.479 | 71 |
| 28.2 | 3.159 | 44 |
| 30.0 | 2.979 | 100 |
| 32.0 | 2.797 | 66 |
| 34.3 | 2.617 | 70 |
| 34.8 | 2.580 | 39 |

***

[2]
# CaCdP
Simulated powder X-ray diffraction pattern, Cu Kα X-rays. Input: DFT lattice parameters and positions (PBE).

Structure:
```
CaCdP
1.0
7.454 0.000 0.000
-3.727 6.456 0.000
0.000 0.000 4.239
Ca Cd P
3 3 3
Direct
0.000 0.402 0.000
0.402 0.000 0.000
0.598 0.598 0.000
0.000 0.750 0.500
0.250 0.250 0.500
0.750 0.000 0.500
0.000 0.000 0.000
0.333 0.667 0.500
0.667 0.333 0.500
```

Top 6 peaks for 10° ≤ 2θ ≤ 80°, by angle:
| 2θ (°) | d_spacing | I (rel.) |
| --- | --- | --- |
| 21.0 | 4.239 | 28 |
| 32.0 | 2.799 | 100 |
| 34.9 | 2.568 | 47 |
| 36.8 | 2.440 | 64 |
| 42.8 | 2.115 | 50 |
| 57.6 | 1.600 | 33 |

***

[3]
# Ca2CdP2
Simulated powder X-ray diffraction pattern, Cu Kα X-rays. Input: DFT lattice parameters and positions (PBE).

Structure:
```
Ca2CdP2
1.0
2.101 -8.029 0.000
2.101 8.029 0.000
0.000 0.000 7.108
Ca Cd P
4 2 4
Direct
0.037 0.963 0.500
0.201 0.799 0.849
0.799 0.201 0.349
0.963 0.037 0.000
0.401 0.599 0.661
0.599 0.401 0.161
0.181 0.819 0.264
0.437 0.563 0.291
0.563 0.437 0.791
0.819 0.181 0.764
```

Top 6 peaks for 10° ≤ 2θ ≤ 80°, by angle:
| 2θ (°) | d_spacing | I (rel.) |
| --- | --- | --- |
| 16.7 | 5.322 | 100 |
| 29.8 | 2.997 | 81 |
| 33.5 | 2.676 | 68 |
| 35.2 | 2.552 | 81 |
| 39.7 | 2.273 | 33 |
| 43.0 | 2.101 | 34 |